Diffraction record for Mg6CdSiO8. The powder X-ray diffraction pattern is simulated, not measured: it uses DFT lattice parameters and positions (GGA-PBE) and Cu Kα (weighted mean of Kα1 and Kα2).
Intensities are scaled so that the largest is 100.

Cell and atoms:
Cell lengths 4.410, 4.410, 8.797 Å; angles 90.00, 90.00, 90.00 degrees
Space group P4/mmm (No. 123)
Unique sites:
Mg1 0.000 0.000 0.000
Mg2 0.000 0.500 0.241
Mg3 0.500 0.500 0.000
Cd1 0.000 0.000 0.500
Si1 0.500 0.500 0.500
O1 0.000 0.000 0.233
O2 0.000 0.500 0.000
O3 0.000 0.500 0.500
O4 0.500 0.500 0.239

The 10 most intense peaks (2θ = 10–80°), in order of falling intensity:
40.9 deg, intensity 100, hkl 2 0 0; 59.3 deg, intensity 86, hkl 2 2 0; 10.1 deg, intensity 51, hkl 0 0 1; 41.0 deg, intensity 48, hkl 0 0 4; 35.3 deg, intensity 46, hkl 1 1 2; 20.2 deg, intensity 40, hkl 0 0 2; 22.6 deg, intensity 37, hkl 1 0 1; 28.7 deg, intensity 34, hkl 1 1 0; 30.4 deg, intensity 31, hkl 0 0 3; 74.6 deg, intensity 26, hkl 2 2 4